For La10DyHo4, DFT lattice parameters and positions (PBE) gives the simulated powder diffraction line list in this record (Cu Kα X-rays).
Intensities are scaled so that the largest is 100.

Cell and atoms:
```
La10DyHo4
1.0
-6.233 6.233 3.971
6.233 -6.233 3.971
6.233 6.233 -3.971
La Dy Ho
10 1 4
Cartesian
7.478 3.738 -1.984
3.738 4.989 -1.984
6.233 0.000 1.986
2.495 1.245 1.987
-1.245 2.495 1.987
7.478 3.738 1.984
3.738 4.989 1.984
0.000 6.233 1.986
2.495 1.245 5.955
-1.245 2.495 5.955
0.000 0.000 0.000
4.985 2.493 0.000
3.741 -1.249 3.971
2.493 7.482 0.000
1.249 3.741 3.971
```

Main lines, in order of falling intensity (10° ≤ 2θ ≤ 90°):
- 31.99 deg, rel. 100
- 32.11 deg, rel. 50
- 19.45 deg, rel. 47
- 57.16 deg, rel. 38
- 56.94 deg, rel. 19
- 46.05 deg, rel. 18
- 37.82 deg, rel. 18
- 76.36 deg, rel. 16
- 66.88 deg, rel. 12
- 45.69 deg, rel. 9



For La4Dy6Ho, DFT lattice parameters and positions (PBE) gives the simulated powder diffraction line list in this record (Cu Kα X-rays).
Intensities are scaled so that the largest is 100.

Cell and atoms:
```
La4Dy6Ho
1.0
-3.391 3.391 8.438
3.391 -3.391 8.438
3.391 3.391 -8.438
La Dy Ho
4 6 1
Cartesian
2.101 2.101 -2.989
1.290 -1.290 11.427
1.290 1.290 5.449
-1.290 1.290 11.427
3.391 0.000 0.000
2.210 -2.210 6.460
1.181 1.181 1.978
0.000 3.391 0.000
-2.210 2.210 6.460
2.210 2.210 10.416
0.000 0.000 8.438
```

Main lines, in order of falling intensity (10° ≤ 2θ ≤ 90°):
- 29.93 deg, rel. 100
- 33.92 deg, rel. 74
- 28.37 deg, rel. 62
- 28.17 deg, rel. 54
- 29.56 deg, rel. 38
- 37.51 deg, rel. 31
- 37.06 deg, rel. 30
- 56.19 deg, rel. 28
- 39.97 deg, rel. 24
- 55.97 deg, rel. 23



For La12DyHo5, DFT lattice parameters and positions (PBE) gives the simulated powder diffraction line list in this record (Cu Kα X-rays).
Intensities are scaled so that the largest is 100.

Cell and atoms:
```
La12DyHo5
1.0
3.182 -5.514 0.000
3.182 5.514 0.000
-2.095 0.000 17.937
La Dy Ho
12 1 5
Cartesian
1.061 1.840 2.942
0.014 0.000 6.053
1.072 1.838 11.885
0.029 0.000 14.995
1.061 -1.840 2.942
3.196 1.838 6.052
1.072 -1.838 11.885
3.207 1.840 14.995
4.239 0.000 2.942
3.196 -1.838 6.052
4.254 0.000 11.884
3.207 -1.840 14.995
0.000 0.000 0.000
2.134 3.676 8.968
3.182 1.838 0.000
2.134 0.000 8.968
3.182 -1.838 0.000
2.134 -3.676 8.968
```

Main lines, in order of falling intensity (10° ≤ 2θ ≤ 90°):
- 31.09 deg, rel. 100
- 32.69 deg, rel. 87
- 29.89 deg, rel. 82
- 29.26 deg, rel. 76
- 59.00 deg, rel. 72
- 49.61 deg, rel. 61
- 35.58 deg, rel. 44
- 30.40 deg, rel. 33
- 28.83 deg, rel. 26
- 52.76 deg, rel. 22



For LaDyHo2, DFT lattice parameters and positions (PBE) gives the simulated powder diffraction line list in this record (Cu Kα X-rays).
Intensities are scaled so that the largest is 100.

Cell and atoms:
```
LaDyHo2
1.0
7.287 0.000 0.000
0.000 12.583 0.000
0.000 0.000 5.737
La Dy Ho
4 4 8
Cartesian
0.000 1.060 1.434
0.000 11.523 4.303
3.643 5.231 4.303
3.643 7.352 1.434
0.000 5.229 4.303
0.000 7.354 1.434
3.643 1.062 1.434
3.643 11.521 4.303
1.818 2.112 4.303
1.825 4.179 1.434
1.825 8.404 4.303
1.818 10.471 1.434
5.469 2.112 4.303
5.461 4.179 1.434
5.461 8.404 4.303
5.469 10.471 1.434
```

Main lines, in order of falling intensity (10° ≤ 2θ ≤ 90°):
- 32.42 deg, rel. 100
- 31.18 deg, rel. 25
- 28.33 deg, rel. 24
- 56.27 deg, rel. 21
- 42.62 deg, rel. 16
- 60.28 deg, rel. 15
- 50.19 deg, rel. 13
- 60.95 deg, rel. 11
- 82.85 deg, rel. 9
- 86.39 deg, rel. 8



For La4DyHo2, DFT lattice parameters and positions (PBE) gives the simulated powder diffraction line list in this record (Cu Kα X-rays).
Intensities are scaled so that the largest is 100.

Cell and atoms:
```
La4DyHo2
1.0
-3.483 5.794 6.075
3.483 -5.794 6.075
3.483 5.794 -6.075
La Dy Ho
8 2 4
Cartesian
0.000 0.014 1.858
1.518 2.897 -0.094
1.965 -2.897 5.980
3.483 0.014 4.216
0.000 5.780 1.858
1.518 8.691 0.094
1.965 2.897 6.169
3.483 5.780 4.216
-1.742 2.897 3.037
1.742 2.897 3.037
3.483 0.000 0.000
3.483 2.897 -2.608
0.000 0.000 6.075
0.000 2.897 8.683
```

Main lines, in order of falling intensity (10° ≤ 2θ ≤ 90°):
- 29.82 deg, rel. 100
- 30.87 deg, rel. 72
- 29.93 deg, rel. 69
- 33.31 deg, rel. 37
- 27.73 deg, rel. 33
- 54.27 deg, rel. 32
- 34.85 deg, rel. 21
- 33.45 deg, rel. 20
- 52.55 deg, rel. 20
- 47.77 deg, rel. 18



For La14DyHo, DFT lattice parameters and positions (PBE) gives the simulated powder diffraction line list in this record (Cu Kα X-rays).
Intensities are scaled so that the largest is 100.

Cell and atoms:
```
La14DyHo
1.0
11.851 0.000 0.000
0.000 5.759 4.226
0.000 -5.759 4.226
La Dy Ho
14 1 1
Cartesian
0.000 0.000 0.000
0.000 0.000 3.630
0.000 -2.404 6.286
0.000 2.404 6.286
2.895 -3.286 4.478
2.895 3.286 4.478
3.050 0.000 2.635
3.127 0.000 6.326
5.925 -2.687 6.375
5.925 2.687 6.375
8.723 0.000 6.326
8.800 0.000 2.635
8.956 -3.286 4.478
8.956 3.286 4.478
5.925 0.000 0.354
5.925 0.000 4.103
```

Main lines, in order of falling intensity (10° ≤ 2θ ≤ 90°):
- 30.24 deg, rel. 100
- 31.06 deg, rel. 17
- 53.64 deg, rel. 16
- 43.84 deg, rel. 12
- 29.67 deg, rel. 9
- 53.25 deg, rel. 7
- 54.76 deg, rel. 7
- 42.79 deg, rel. 5
- 61.99 deg, rel. 5
- 62.94 deg, rel. 5



For La2DyHo3, DFT lattice parameters and positions (PBE) gives the simulated powder diffraction line list in this record (Cu Kα X-rays).
Intensities are scaled so that the largest is 100.

Cell and atoms:
```
La2DyHo3
1.0
4.516 -4.956 0.000
4.516 4.956 0.000
-1.799 0.000 8.887
La Dy Ho
4 2 6
Cartesian
1.814 2.478 7.775
4.521 2.478 5.556
2.713 -2.478 3.331
5.420 -2.478 1.113
4.067 4.128 2.222
3.167 -4.128 6.666
1.359 0.826 4.442
0.460 -0.826 8.886
4.067 0.824 2.222
3.167 -0.824 6.666
6.774 0.826 0.001
5.874 -0.826 4.445
```

Main lines, in order of falling intensity (10° ≤ 2θ ≤ 90°):
- 31.24 deg, rel. 100
- 55.65 deg, rel. 18
- 31.31 deg, rel. 18
- 55.55 deg, rel. 16
- 44.82 deg, rel. 13
- 62.04 deg, rel. 10
- 62.18 deg, rel. 8
- 65.16 deg, rel. 8
- 44.70 deg, rel. 7
- 74.11 deg, rel. 6



For La4Dy3Ho, DFT lattice parameters and positions (PBE) gives the simulated powder diffraction line list in this record (Cu Kα X-rays).
Intensities are scaled so that the largest is 100.

Cell and atoms:
```
La4Dy3Ho
1.0
5.154 0.000 0.000
0.000 10.310 0.000
0.000 0.000 10.282
La Dy Ho
8 6 2
Cartesian
1.288 10.308 1.319
1.288 2.577 8.965
1.288 5.157 1.319
1.288 7.732 8.965
3.865 0.002 8.963
3.865 2.577 1.317
3.865 5.153 8.963
3.865 7.732 1.317
1.288 0.002 6.340
1.288 2.577 3.942
1.288 5.153 6.340
3.865 10.308 3.943
3.865 5.156 3.943
3.865 7.732 6.340
1.288 7.732 3.944
3.865 2.577 6.338
```

Main lines, in order of falling intensity (10° ≤ 2θ ≤ 90°):
- 30.06 deg, rel. 100
- 34.84 deg, rel. 51
- 50.10 deg, rel. 36
- 59.50 deg, rel. 29
- 59.62 deg, rel. 14
- 62.47 deg, rel. 12
- 81.50 deg, rel. 11
- 83.99 deg, rel. 11
- 81.39 deg, rel. 6
- 84.18 deg, rel. 5



For La5DyHo2, DFT lattice parameters and positions (PBE) gives the simulated powder diffraction line list in this record (Cu Kα X-rays).
Intensities are scaled so that the largest is 100.

Cell and atoms:
```
La5DyHo2
1.0
2.893 -8.515 0.000
2.893 8.515 0.000
0.000 0.000 11.589
La Dy Ho
10 2 4
Cartesian
2.893 7.699 7.121
2.893 7.699 10.262
2.893 1.888 2.897
2.893 1.513 6.799
2.893 1.513 10.584
2.893 -1.513 1.004
2.893 -1.513 4.790
2.893 -1.888 8.691
2.893 -7.699 1.327
2.893 -7.699 4.468
2.893 4.600 8.691
2.893 -4.600 2.897
2.893 4.835 0.958
2.893 4.835 4.837
2.893 -4.835 6.752
2.893 -4.835 10.631
```

Main lines, in order of falling intensity (10° ≤ 2θ ≤ 90°):
- 32.01 deg, rel. 100
- 30.91 deg, rel. 41
- 30.45 deg, rel. 36
- 31.48 deg, rel. 22
- 55.67 deg, rel. 21
- 25.32 deg, rel. 17
- 58.93 deg, rel. 17
- 48.85 deg, rel. 15
- 57.09 deg, rel. 12
- 40.36 deg, rel. 10



For La8Dy3Ho, DFT lattice parameters and positions (PBE) gives the simulated powder diffraction line list in this record (Cu Kα X-rays).
Intensities are scaled so that the largest is 100.

Cell and atoms:
```
La8Dy3Ho
1.0
-5.607 5.917 3.210
5.607 -5.917 3.210
5.607 5.917 -3.210
La Dy Ho
8 3 1
Cartesian
1.845 0.000 0.000
9.369 0.000 0.000
3.764 2.967 1.022
7.450 2.967 1.022
1.845 5.917 -0.005
3.762 0.000 3.205
-1.843 2.950 4.232
1.843 2.950 4.232
0.000 2.958 1.074
0.000 8.875 1.074
0.000 5.917 3.156
0.000 0.000 3.159
```

Main lines, in order of falling intensity (10° ≤ 2θ ≤ 90°):
- 31.56 deg, rel. 100
- 31.71 deg, rel. 49
- 30.21 deg, rel. 37
- 27.61 deg, rel. 23
- 58.70 deg, rel. 23
- 54.52 deg, rel. 21
- 49.05 deg, rel. 19
- 59.31 deg, rel. 16
- 41.39 deg, rel. 16
- 27.79 deg, rel. 12



For La2DyHo9, DFT lattice parameters and positions (PBE) gives the simulated powder diffraction line list in this record (Cu Kα X-rays).
Intensities are scaled so that the largest is 100.

Cell and atoms:
```
La2DyHo9
1.0
11.317 0.000 0.000
-5.658 9.800 0.000
0.000 0.000 3.475
La Dy Ho
2 1 9
Cartesian
0.000 6.534 0.000
5.658 3.267 0.000
0.000 0.000 0.000
-2.829 4.900 0.000
0.000 3.363 1.738
-2.746 8.119 1.738
2.912 1.681 1.738
5.658 0.000 0.000
2.829 4.900 0.000
2.746 8.119 1.738
8.404 1.681 1.738
5.658 6.437 1.738
```

Main lines, in order of falling intensity (10° ≤ 2θ ≤ 90°):
- 31.60 deg, rel. 100
- 56.30 deg, rel. 26
- 62.76 deg, rel. 18
- 30.18 deg, rel. 14
- 45.29 deg, rel. 13
- 80.75 deg, rel. 9
- 37.80 deg, rel. 8
- 66.05 deg, rel. 7
- 35.42 deg, rel. 7
- 89.30 deg, rel. 7



For LaDy7Ho12, DFT lattice parameters and positions (PBE) gives the simulated powder diffraction line list in this record (Cu Kα X-rays).
Intensities are scaled so that the largest is 100.

Cell and atoms:
```
LaDy7Ho12
1.0
5.996 3.462 5.248
-5.996 3.462 5.248
0.000 -6.924 5.248
La Dy Ho
1 7 12
Cartesian
0.000 0.000 0.000
-5.240 0.480 6.547
-3.036 -4.298 9.196
2.204 -4.778 6.547
0.000 0.000 7.871
-2.204 4.778 9.196
3.036 4.298 6.547
5.240 -0.480 9.196
-1.965 -0.524 4.654
-0.728 -3.246 7.090
-3.175 -0.993 8.653
1.437 -1.440 4.654
-2.447 2.253 7.090
0.529 1.964 4.654
-0.529 -1.964 11.089
2.447 -2.253 8.653
-1.437 1.440 11.089
3.175 0.993 7.090
0.728 3.246 8.653
1.965 0.524 11.089
```

Main lines, in order of falling intensity (10° ≤ 2θ ≤ 90°):
- 31.58 deg, rel. 100
- 33.12 deg, rel. 50
- 32.21 deg, rel. 49
- 30.95 deg, rel. 31
- 29.65 deg, rel. 28
- 33.28 deg, rel. 24
- 55.22 deg, rel. 22
- 52.00 deg, rel. 16
- 53.42 deg, rel. 14
- 37.41 deg, rel. 13